Simulated X-ray diffraction stick pattern of TbAl3C3 for Cu Ka, from a structure optimized by DFT (GGA-PBE).
Kinematic intensities with the Lorentz-polarization factor, no thermal factor.

Structure:
a = 3.442 Å, b = 3.442 Å, c = 17.389 Å
α = 90.00°, β = 90.00°, γ = 120.00°
Fractional coordinates of all 14 atoms:
Tb  0.000  0.000  0.000
Tb  0.000  0.000  0.500
Al  0.333  0.667  0.134
Al  0.333  0.667  0.366
Al  0.333  0.667  0.750
Al  0.667  0.333  0.250
Al  0.667  0.333  0.634
Al  0.667  0.333  0.866
C  0.333  0.667  0.250
C  0.333  0.667  0.594
C  0.333  0.667  0.906
C  0.667  0.333  0.094
C  0.667  0.333  0.406
C  0.667  0.333  0.750

Most intense lines, 15° ≤ 2θ ≤ 90°, sorted by position:
- 20.43 deg, d 4.347, I = 25
- 29.97 deg, d 2.981, I = 19
- 31.73 deg, d 2.820, I = 100
- 36.55 deg, d 2.459, I = 66
- 41.55 deg, d 2.174, I = 15
- 43.55 deg, d 2.078, I = 42
- 53.22 deg, d 1.721, I = 26
- 61.76 deg, d 1.502, I = 16
- 63.30 deg, d 1.469, I = 14
- 66.29 deg, d 1.410, I = 12
- 69.68 deg, d 1.349, I = 19
- 87.25 deg, d 1.117, I = 12

---

Simulated X-ray diffraction stick pattern of Eu3Si2Ni6 for Cu Ka, from a structure optimized by DFT (GGA-PBE).
Kinematic intensities with the Lorentz-polarization factor, no thermal factor.

Structure:
a = 7.699 Å, b = 7.699 Å, c = 7.699 Å
α = 109.47°, β = 109.47°, γ = 109.47°
Fractional coordinates of all 22 atoms:
Eu  0.000  0.283  0.283
Eu  0.000  0.717  0.717
Eu  0.283  0.000  0.283
Eu  0.283  0.283  0.000
Eu  0.717  0.000  0.717
Eu  0.717  0.717  0.000
Si  0.000  0.000  0.500
Si  0.000  0.500  0.000
Si  0.500  0.000  0.000
Si  0.500  0.500  0.500
Ni  0.000  0.329  0.671
Ni  0.000  0.671  0.329
Ni  0.329  0.000  0.671
Ni  0.329  0.329  0.658
Ni  0.329  0.658  0.329
Ni  0.329  0.671  0.000
Ni  0.342  0.671  0.671
Ni  0.658  0.329  0.329
Ni  0.671  0.000  0.329
Ni  0.671  0.329  0.000
Ni  0.671  0.342  0.671
Ni  0.671  0.671  0.342

Most intense lines, 15° ≤ 2θ ≤ 90°, sorted by position:
- 24.53 deg, d 3.629, I = 18
- 28.40 deg, d 3.143, I = 17
- 31.83 deg, d 2.811, I = 40
- 34.96 deg, d 2.566, I = 29
- 37.87 deg, d 2.376, I = 35
- 40.59 deg, d 2.223, I = 26
- 43.17 deg, d 2.095, I = 100
- 56.71 deg, d 1.623, I = 12
- 60.75 deg, d 1.525, I = 13
- 64.63 deg, d 1.442, I = 22
- 70.23 deg, d 1.340, I = 20
- 79.17 deg, d 1.210, I = 20

---

Simulated X-ray diffraction stick pattern of Sr2CuBi2O6 for Cu Ka, from a structure optimized by DFT (GGA-PBE).
Kinematic intensities with the Lorentz-polarization factor, no thermal factor.

Structure:
a = 13.019 Å, b = 13.019 Å, c = 5.133 Å
α = 90.00°, β = 90.00°, γ = 155.50°
Fractional coordinates of all 22 atoms:
Sr  0.066  0.425  0.000
Sr  0.425  0.066  0.500
Sr  0.575  0.934  0.500
Sr  0.934  0.575  0.000
Cu  0.000  0.500  0.500
Cu  0.500  0.000  0.000
Bi  0.210  0.337  0.500
Bi  0.337  0.210  0.000
Bi  0.663  0.790  0.000
Bi  0.790  0.663  0.500
O  0.087  0.376  0.500
O  0.252  0.748  0.250
O  0.252  0.748  0.750
O  0.270  0.401  0.000
O  0.376  0.087  0.000
O  0.401  0.270  0.500
O  0.599  0.730  0.500
O  0.624  0.913  0.000
O  0.730  0.599  0.000
O  0.748  0.252  0.250
O  0.748  0.252  0.750
O  0.913  0.624  0.500

Most intense lines, 15° ≤ 2θ ≤ 90°, sorted by position:
- 20.95 deg, d 4.241, I = 16
- 25.92 deg, d 3.438, I = 67
- 28.05 deg, d 3.181, I = 28
- 29.54 deg, d 3.024, I = 100
- 32.41 deg, d 2.763, I = 36
- 34.96 deg, d 2.567, I = 33
- 43.38 deg, d 2.086, I = 20
- 45.41 deg, d 1.997, I = 20
- 46.07 deg, d 1.970, I = 23
- 48.41 deg, d 1.880, I = 28
- 52.72 deg, d 1.736, I = 17
- 56.04 deg, d 1.641, I = 19

---

Simulated X-ray diffraction stick pattern of PrGePd for Cu Ka, from a structure optimized by DFT (GGA-PBE).
Kinematic intensities with the Lorentz-polarization factor, no thermal factor.

Structure:
a = 10.569 Å, b = 4.529 Å, c = 7.488 Å
α = 90.00°, β = 132.91°, γ = 90.00°
Fractional coordinates of all 12 atoms:
Pr  0.037  0.000  0.298
Pr  0.463  0.500  0.702
Pr  0.537  0.500  0.298
Pr  0.963  0.000  0.702
Ge  0.160  0.500  0.109
Ge  0.340  0.000  0.891
Ge  0.660  0.000  0.109
Ge  0.840  0.500  0.891
Pd  0.183  0.500  0.726
Pd  0.317  0.000  0.274
Pd  0.683  0.000  0.726
Pd  0.817  0.500  0.274

Most intense lines, 15° ≤ 2θ ≤ 90°, sorted by position:
- 32.38 deg, d 2.765, I = 53
- 32.66 deg, d 2.742, I = 45
- 32.82 deg, d 2.729, I = 76
- 33.47 deg, d 2.677, I = 100
- 33.95 deg, d 2.641, I = 47
- 37.47 deg, d 2.400, I = 23
- 39.81 deg, d 2.264, I = 66
- 40.23 deg, d 2.242, I = 99
- 52.41 deg, d 1.746, I = 27
- 53.30 deg, d 1.719, I = 31
- 63.12 deg, d 1.473, I = 24
- 72.55 deg, d 1.303, I = 17

---

Simulated X-ray diffraction stick pattern of Rb2MoS4 for Cu Ka, from a structure optimized by DFT (GGA-PBE).
Kinematic intensities with the Lorentz-polarization factor, no thermal factor.

Structure:
a = 9.933 Å, b = 7.153 Å, c = 12.750 Å
α = 90.00°, β = 90.00°, γ = 90.00°
Fractional coordinates of all 28 atoms:
Rb  0.037  0.250  0.168
Rb  0.153  0.750  0.396
Rb  0.347  0.250  0.896
Rb  0.463  0.750  0.668
Rb  0.537  0.250  0.332
Rb  0.653  0.750  0.104
Rb  0.847  0.250  0.604
Rb  0.963  0.750  0.832
Mo  0.245  0.750  0.073
Mo  0.255  0.250  0.573
Mo  0.745  0.750  0.427
Mo  0.755  0.250  0.927
S  0.027  0.750  0.105
S  0.162  0.001  0.644
S  0.162  0.499  0.644
S  0.214  0.250  0.403
S  0.286  0.750  0.903
S  0.338  0.501  0.144
S  0.338  0.999  0.144
S  0.473  0.250  0.605
S  0.527  0.750  0.395
S  0.662  0.001  0.856
S  0.662  0.499  0.856
S  0.714  0.250  0.097
S  0.786  0.750  0.597
S  0.838  0.501  0.356
S  0.838  0.999  0.356
S  0.973  0.250  0.895

Most intense lines, 15° ≤ 2θ ≤ 90°, sorted by position:
- 16.78 deg, d 5.283, I = 44
- 20.69 deg, d 4.292, I = 50
- 22.89 deg, d 3.886, I = 55
- 24.36 deg, d 3.654, I = 90
- 24.89 deg, d 3.577, I = 100
- 27.84 deg, d 3.205, I = 62
- 27.99 deg, d 3.188, I = 67
- 30.57 deg, d 2.925, I = 64
- 31.62 deg, d 2.830, I = 64
- 33.96 deg, d 2.640, I = 60
- 37.50 deg, d 2.399, I = 45
- 54.78 deg, d 1.676, I = 51

---

> Which formula does entry 3 have?

Sr2CuBi2O6